RbGaSnH: theoretical X-ray powder pattern (copper Kα), based on the GGA-PBE geometry in Alexandria.
No peak broadening, texture or thermal motion is included.

Structural model:
Cell lengths 4.6787, 4.6787, 5.8375 Å; angles 90.00, 90.00, 120.00 degrees
Space group P3m1 (No. 156)
Inequivalent atoms, fractional coordinates:
Rb1 0.0000 0.0000 0.0000 [1 per cell]
Ga1 0.3333 0.6667 0.4501 [1 per cell]
Sn1 0.6667 0.3333 0.5328 [1 per cell]
H1 0.3333 0.6667 0.1638 [1 per cell]

The 12 most intense peaks (10 to 80 degrees two-theta), by angle:
15.18°, I = 17, hkl 0 0 1; 26.78°, I = 100, hkl 0 1 1; 30.63°, I = 21, hkl 0 0 2; 37.99°, I = 9, hkl 1 0 2; 38.48°, I = 42, hkl 1 1 0; 41.59°, I = 9, hkl 1 1 1; 47.50°, I = 21, hkl 2 0 1; 49.96°, I = 33, hkl 1 1 2; 52.14°, I = 18, hkl 0 1 3; 62.72°, I = 18, hkl 1 2 1; 77.94°, I = 9, hkl 3 0 2; 79.67°, I = 10, hkl 1 2 3

---

Rb2GaSnH2: theoretical X-ray powder pattern (copper Kα), based on the GGA-PBE geometry in Alexandria.
No peak broadening, texture or thermal motion is included.

Structural model:
Cell lengths 11.3036, 8.1516, 7.5717 Å; angles 90.00, 90.00, 90.00 degrees
Space group Cmc2_1 (No. 36)
Inequivalent atoms, fractional coordinates:
Rb1 0.1908 0.1562 0.0000 [8 per cell]
Ga1 0.0000 0.2828 0.6239 [4 per cell]
Sn1 0.0000 0.4373 0.2883 [4 per cell]
H1 0.1135 0.1546 0.6249 [8 per cell]

The 12 most intense peaks (10 to 80 degrees two-theta), by angle:
13.39°, I = 64, hkl 1 1 0; 24.81°, I = 87, hkl 0 2 1; 26.05°, I = 80, hkl 3 1 0; 27.14°, I = 61, hkl 1 1 2; 28.37°, I = 77, hkl 2 0 2; 28.64°, I = 100, hkl 3 1 1; 29.48°, I = 25, hkl 2 2 1; 32.27°, I = 32, hkl 0 2 2; 36.03°, I = 53, hkl 1 3 1; 38.17°, I = 33, hkl 1 1 3; 45.20°, I = 35, hkl 2 2 3; 47.75°, I = 28, hkl 3 3 2

---

Ga2ReH6: theoretical X-ray powder pattern (copper Kα), based on the GGA-PBE geometry in Alexandria.
No peak broadening, texture or thermal motion is included.

Structural model:
Cell lengths 7.9081, 4.5624, 5.2286 Å; angles 90.00, 120.37, 90.00 degrees
Space group C2/m (No. 12)
Inequivalent atoms, fractional coordinates:
Ga1 0.1323 0.0000 0.3993 [4 per cell]
Re1 0.0000 0.5000 0.5000 [2 per cell]
H1 0.0339 0.2905 0.8130 [8 per cell]
H2 0.2450 0.5000 0.8109 [4 per cell]

The 12 most intense peaks (10 to 80 degrees two-theta), by angle:
19.68°, I = 100, hkl 0 0 1; 23.45°, I = 16, hkl 2 0 -1; 26.11°, I = 50, hkl 2 0 0; 39.49°, I = 62, hkl 0 2 0; 39.97°, I = 9, hkl 0 0 2; 40.39°, I = 35, hkl 2 0 1; 44.49°, I = 75, hkl 3 1 -2; 57.45°, I = 20, hkl 3 1 -3; 59.43°, I = 18, hkl 2 0 2; 71.62°, I = 11, hkl 6 0 -2; 72.23°, I = 13, hkl 5 1 0; 75.10°, I = 11, hkl 3 3 -2

---

GaHRh3: theoretical X-ray powder pattern (copper Kα), based on the GGA-PBE geometry in Alexandria.
No peak broadening, texture or thermal motion is included.

Structural model:
Cell lengths 4.7337, 2.7966, 4.7349 Å; angles 90.00, 108.13, 90.00 degrees
Space group Pm (No. 6)
Inequivalent atoms, fractional coordinates:
Ga1 0.0000 0.0000 0.0000 [1 per cell]
H1 0.2923 0.0000 0.7003 [1 per cell]
Rh1 0.0005 0.5000 0.4901 [1 per cell]
Rh2 0.5044 0.0000 0.4484 [1 per cell]
Rh3 0.5232 0.5000 0.9672 [1 per cell]

The 12 most intense peaks (10 to 80 degrees two-theta), by angle:
19.73°, I = 5, hkl 1 0 0; 37.88°, I = 3, hkl 0 1 1; 38.78°, I = 5, hkl 1 0 -2; 39.90°, I = 100, hkl 1 1 -1; 40.08°, I = 97, hkl 2 0 0; 46.05°, I = 67, hkl 1 1 1; 47.43°, I = 28, hkl 2 0 -2; 51.13°, I = 3, hkl 2 1 -1; 66.92°, I = 11, hkl 0 2 0; 67.41°, I = 10, hkl 2 0 2; 68.26°, I = 36, hkl 3 1 -1; 72.31°, I = 4, hkl 2 1 -3